Diffraction record for Na3YI6. The X-ray powder pattern is theoretical, not measured: it uses a cell relaxed with PBE and Cu Kα.

The 12 most intense peaks (2θ = 10–80°), low angle first:
d [Å]	2θ/deg	intensity
6.108	14.5	60.0
3.526	25.3	100.0
3.054	29.2	92.1
2.731	32.8	32.3
2.159	41.8	68.3
2.036	44.5	17.0
1.842	49.5	46.5
1.763	51.9	23.9
1.527	60.6	11.1
1.401	66.8	18.7
1.366	68.7	30.2
1.247	76.4	22.3

Structural model:
```
Na3YI6
1.0
0.000 6.108 6.108
6.108 0.000 6.108
6.108 6.108 0.000
Na Y I
3 1 6
Direct
0.000 0.000 0.000
0.250 0.250 0.250
0.750 0.750 0.750
0.500 0.500 0.500
0.254 0.254 0.746
0.254 0.746 0.254
0.254 0.746 0.746
0.746 0.254 0.254
0.746 0.254 0.746
0.746 0.746 0.254
```

=====

Diffraction record for NbI5. The X-ray powder pattern is theoretical, not measured: it uses a cell relaxed with PBE and Cu Kα.

The 12 most intense peaks (2θ = 10–80°), low angle first:
d [Å]	2θ/deg	intensity
7.174	12.3	35.3
3.302	27.0	100.0
3.208	27.8	72.3
3.189	28.0	70.3
2.495	36.0	23.2
2.453	36.6	15.9
2.444	36.8	16.5
2.182	41.4	16.1
2.164	41.7	16.6
2.083	43.4	15.6
1.885	48.3	14.7
1.881	48.4	14.8

Structural model:
```
NbI5
1.0
11.060 0.000 0.000
0.000 6.591 0.000
-5.142 0.000 14.389
Nb I
4 20
Direct
0.212 0.000 0.303
0.212 0.500 0.803
0.788 0.000 0.697
0.788 0.500 0.197
0.000 0.249 0.328
0.000 0.251 0.828
0.000 0.749 0.172
0.000 0.751 0.672
0.184 0.730 0.942
0.184 0.770 0.442
0.187 0.228 0.150
0.187 0.272 0.650
0.382 0.249 0.920
0.382 0.251 0.420
0.382 0.747 0.270
0.382 0.753 0.770
0.618 0.247 0.230
0.618 0.253 0.730
0.618 0.749 0.580
0.618 0.751 0.080
0.813 0.728 0.350
0.813 0.772 0.850
0.816 0.230 0.558
0.816 0.270 0.058
```

=====

Diffraction record for Nb3I. The X-ray powder pattern is theoretical, not measured: it uses a cell relaxed with PBE and Cu Kα.

The 12 most intense peaks (2θ = 10–80°), low angle first:
d [Å]	2θ/deg	intensity
3.628	24.5	4.7
2.630	34.1	23.6
2.506	35.8	28.7
2.329	38.7	100.0
1.988	45.6	2.8
1.814	50.3	15.3
1.655	55.5	2.7
1.518	61.0	15.5
1.410	66.3	19.8
1.298	72.8	18.2
1.272	74.6	12.0
1.253	75.9	3.1

Structural model:
```
Nb3I
1.0
6.073 0.000 0.000
-3.036 5.259 0.000
0.000 0.000 5.012
Nb I
6 2
Direct
0.153 0.305 0.250
0.153 0.847 0.250
0.305 0.153 0.750
0.695 0.847 0.250
0.847 0.153 0.750
0.847 0.695 0.750
0.333 0.667 0.750
0.667 0.333 0.250
```

=====

Diffraction record for NbI5. The X-ray powder pattern is theoretical, not measured: it uses a cell relaxed with PBE and Cu Kα.

The 12 most intense peaks (2θ = 10–80°), low angle first:
d [Å]	2θ/deg	intensity
7.005	12.6	26.8
6.774	13.1	25.1
3.502	25.4	48.2
3.413	26.1	32.3
3.315	26.9	100.0
3.262	27.3	34.3
3.231	27.6	54.8
3.196	27.9	30.1
2.593	34.6	20.9
2.544	35.3	25.3
2.517	35.7	19.4
2.089	43.3	18.5

Structural model:
```
NbI5
1.0
7.673 0.000 0.000
-3.587 7.376 0.000
-0.206 -4.102 9.923
Nb I
2 10
Direct
0.100 0.215 0.221
0.900 0.785 0.779
0.077 0.826 0.571
0.120 0.632 0.851
0.221 0.173 0.957
0.297 0.017 0.251
0.426 0.562 0.325
0.574 0.438 0.675
0.703 0.983 0.749
0.779 0.827 0.043
0.880 0.368 0.149
0.923 0.174 0.429
```

=====

Diffraction record for NbI4. The X-ray powder pattern is theoretical, not measured: it uses a cell relaxed with PBE and Cu Kα.

The 12 most intense peaks (2θ = 10–80°), low angle first:
d [Å]	2θ/deg	intensity
7.449	11.9	25.9
6.372	13.9	28.9
3.525	25.3	25.5
3.293	27.1	43.2
3.109	28.7	100.0
2.560	35.1	21.5
2.470	36.4	23.8
2.096	43.2	24.0
1.956	46.4	10.6
1.944	46.7	20.5
1.801	50.7	20.2
1.682	54.6	16.5

Structural model:
```
NbI4
1.0
3.912 -7.049 0.000
3.912 7.049 0.000
0.000 0.000 14.897
Nb I
4 16
Direct
0.090 0.337 0.000
0.337 0.090 0.500
0.663 0.910 0.000
0.910 0.663 0.500
0.007 0.993 0.916
0.010 0.475 0.850
0.228 0.259 0.151
0.254 0.746 0.584
0.259 0.228 0.651
0.266 0.734 0.072
0.475 0.010 0.350
0.488 0.512 0.928
0.512 0.488 0.428
0.525 0.990 0.850
0.734 0.266 0.572
0.741 0.772 0.151
0.746 0.254 0.084
0.772 0.741 0.651
0.990 0.525 0.350
0.993 0.007 0.416
```

=====

Diffraction record for NbI3. The X-ray powder pattern is theoretical, not measured: it uses a cell relaxed with PBE and Cu Kα.

The 12 most intense peaks (2θ = 10–80°), low angle first:
d [Å]	2θ/deg	intensity
6.803	13.0	63.3
3.398	26.2	100.0
2.567	35.0	32.7
2.403	37.4	30.5
2.268	39.7	23.9
2.049	44.2	10.4
1.960	46.3	18.3
1.886	48.2	24.5
1.700	53.9	21.6
1.521	60.9	8.7
1.358	69.2	9.1
1.203	79.7	8.3

Structural model:
```
NbI3
1.0
7.856 0.000 0.000
-3.928 6.803 0.000
0.000 0.000 6.783
Nb I
2 6
Direct
0.000 0.000 0.000
0.000 0.000 0.500
0.000 0.290 0.250
0.000 0.710 0.750
0.290 0.000 0.250
0.290 0.290 0.750
0.710 0.000 0.750
0.710 0.710 0.250
```